This entry pairs a crystal structure of Pm2Dy7Tm3 with its simulated powder X-ray diffraction pattern. Radiation: Cu Kα (weighted mean of Kα1 and Kα2). Structure: a structure optimized by DFT (PBE).
Lines closer than 0.1° are merged.

Peak list (6 most intense, 10 to 80 degrees two-theta, in order of rising 2θ)
hkl, Position (°2θ), d [Å], I/Imax
0 0 6, 28.8, 3.099, 30
2 0 -1, 31.2, 2.865, 61
1 1 2, 31.3, 2.855, 100
0 1 4, 31.6, 2.834, 32
1 0 -6, 31.9, 2.805, 35
1 0 6, 33.8, 2.655, 35

Cell and atoms:
```
Pm2Dy7Tm3
1.0
5.7496 0.0000 0.0000
0.0000 3.5746 0.0000
-1.2250 0.0000 18.5961
Pm Dy Tm
2 7 3
Direct
0.2044 0.0000 0.2948 Pm
0.7956 0.0000 0.7052 Pm
0.1772 0.5000 0.1419 Dy
0.2415 0.0000 0.4627 Dy
0.3201 0.0000 0.8235 Dy
0.5000 0.5000 0.0000 Dy
0.6799 0.0000 0.1765 Dy
0.7585 0.0000 0.5373 Dy
0.8228 0.5000 0.8581 Dy
0.0000 0.0000 0.0000 Tm
0.2804 0.5000 0.6302 Tm
0.7196 0.5000 0.3698 Tm
```